The following is a theoretical X-ray diffraction stick pattern of AcPm6Tm2. It was derived from a structure optimized by DFT (GGA-PBE), using Cu Kα (weighted mean of Kα1 and Kα2).

Peak list (8 most intense, 10 to 80 degrees two-theta, sorted by position)
30.83°, I 92
31.02°, I 100
44.30°, I 34
54.98°, I 12
55.11°, I 37
61.15°, I 27
64.74°, I 8
78.62°, I 9

Crystal structure
```
AcPm6Tm2
1.0
-2.889 4.983 10.690
2.889 -4.983 10.690
2.889 4.983 -10.690
Ac Pm Tm
2 12 4
Direct
0.250 0.250 0.000
0.750 0.750 0.000
0.005 0.339 0.667
0.079 0.079 0.000
0.171 0.839 0.334
0.329 0.663 0.667
0.421 0.421 0.000
0.495 0.163 0.334
0.505 0.837 0.666
0.579 0.579 0.000
0.671 0.337 0.333
0.829 0.161 0.666
0.921 0.921 0.000
0.995 0.661 0.333
0.167 0.499 0.666
0.333 0.999 0.332
0.667 0.001 0.668
0.833 0.501 0.334
```

---

The following is a theoretical X-ray diffraction stick pattern of AcPm5Tm2. It was derived from a structure optimized by DFT (GGA-PBE), using Cu Kα (weighted mean of Kα1 and Kα2).

Peak list (8 most intense, 10 to 80 degrees two-theta, sorted by position)
27.62°, I 47
29.34°, I 53
30.57°, I 100
30.97°, I 36
31.30°, I 25
32.53°, I 23
36.23°, I 15
37.15°, I 18

Crystal structure
```
AcPm5Tm2
1.0
8.598 -5.086 0.000
8.598 5.086 0.000
-0.870 0.000 6.442
Ac Pm Tm
2 10 4
Direct
0.000 0.500 0.000
0.500 0.000 0.500
0.047 0.953 0.250
0.093 0.282 0.499
0.282 0.093 0.999
0.315 0.486 0.377
0.486 0.315 0.877
0.514 0.685 0.123
0.685 0.514 0.623
0.718 0.907 0.001
0.907 0.718 0.501
0.953 0.047 0.750
0.186 0.680 0.899
0.320 0.814 0.601
0.680 0.186 0.399
0.814 0.320 0.101
```

---

The following is a theoretical X-ray diffraction stick pattern of AcPmY2Tm. It was derived from a structure optimized by DFT (GGA-PBE), using Cu Kα (weighted mean of Kα1 and Kα2).

Peak list (8 most intense, 10 to 80 degrees two-theta, sorted by position)
27.82°, I 24
30.55°, I 37
31.73°, I 100
31.86°, I 50
41.72°, I 16
55.05°, I 21
58.95°, I 11
59.12°, I 11

Crystal structure
```
AcPmY2Tm
1.0
6.403 0.000 0.000
0.000 5.852 0.000
-3.161 0.000 9.308
Ac Pm Y Tm
2 2 4 2
Direct
0.140 0.250 0.107
0.860 0.750 0.893
0.481 0.750 0.108
0.519 0.250 0.892
0.259 0.750 0.693
0.335 0.250 0.503
0.665 0.750 0.497
0.741 0.250 0.307
0.072 0.750 0.312
0.928 0.250 0.688
```

---

The following is a theoretical X-ray diffraction stick pattern of Ac2Pm7Y4. It was derived from a structure optimized by DFT (GGA-PBE), using Cu Kα (weighted mean of Kα1 and Kα2).

Peak list (8 most intense, 10 to 80 degrees two-theta, sorted by position)
26.76°, I 30
28.99°, I 44
31.28°, I 100
34.80°, I 43
49.90°, I 25
50.18°, I 21
57.52°, I 18
60.08°, I 13

Crystal structure
```
Ac2Pm7Y4
1.0
6.331 0.000 0.000
-3.166 5.483 0.000
0.000 0.000 13.323
Ac Pm Y
2 7 4
Direct
0.333 0.667 0.000
0.667 0.333 0.000
0.000 0.000 0.000
0.000 0.372 0.773
0.000 0.628 0.227
0.372 0.000 0.773
0.372 0.372 0.227
0.628 0.000 0.227
0.628 0.628 0.773
0.000 0.000 0.394
0.000 0.000 0.606
0.333 0.667 0.500
0.667 0.333 0.500
```